Structure and calculated X-ray powder pattern of Ca2La5Pr6 (the GGA-PBE geometry in Alexandria; Cu Kα).

The 10 most intense peaks (10 to 90 degrees two-theta), in order of rising 2θ:
2theta	I_rel
28.2	56
29.1	70
29.4	34
30.1	44
30.2	85
30.4	46
30.9	100
32.9	55
33.3	45
35.0	32

abc: 12.387 21.302 3.686
angles: 90.00 90.00 90.00
Fractional positions:
Ca 0.168 0.214 0.000
Ca 0.332 0.714 0.000
Ca 0.668 0.286 0.000
Ca 0.832 0.786 0.000
La 0.000 0.500 0.500
La 0.092 0.780 0.500
La 0.210 0.050 0.500
La 0.290 0.550 0.500
La 0.408 0.280 0.500
La 0.500 0.000 0.500
La 0.592 0.720 0.500
La 0.710 0.450 0.500
La 0.790 0.950 0.500
La 0.908 0.220 0.500
Pr 0.052 0.923 0.000
Pr 0.070 0.638 0.000
Pr 0.188 0.375 0.500
Pr 0.312 0.875 0.500
Pr 0.430 0.138 0.000
Pr 0.448 0.423 0.000
Pr 0.552 0.577 0.000
Pr 0.570 0.862 0.000
Pr 0.688 0.125 0.500
Pr 0.812 0.625 0.500
Pr 0.930 0.362 0.000
Pr 0.948 0.077 0.000

Structure and calculated X-ray powder pattern of Rb3Sn4Au4 (the GGA-PBE geometry in Alexandria; Cu Kα).

The 10 most intense peaks (10 to 90 degrees two-theta), in order of rising 2θ:
2theta	I_rel
14.2	45
24.6	37
28.5	46
32.0	100
38.1	28
43.4	80
48.2	27
61.1	24
63.0	20
79.6	26

abc: 7.662 7.662 7.662
angles: 109.47 109.47 109.47
Fractional positions:
Rb 0.000 0.500 0.500
Rb 0.500 0.000 0.500
Rb 0.500 0.500 0.000
Sn 0.000 0.000 0.715
Sn 0.000 0.715 0.000
Sn 0.285 0.285 0.285
Sn 0.715 0.000 0.000
Au 0.000 0.000 0.355
Au 0.000 0.355 0.000
Au 0.355 0.000 0.000
Au 0.645 0.645 0.645